No. 1
Diffraction record for La4Sb2F. The powder X-ray diffraction pattern is calculated, not measured: it uses the GGA-PBE geometry in Alexandria and CuKα.

Largest 12 diffraction maxima, by intensity, 10° ≤ 2θ ≤ 90°:
- 2θ = 27.89°, I 100
- 2θ = 33.11°, I 96
- 2θ = 37.02°, I 75
- 2θ = 48.72°, I 43
- 2θ = 30.53°, I 40
- 2θ = 31.43°, I 38
- 2θ = 64.23°, I 33
- 2θ = 49.30°, I 29
- 2θ = 53.35°, I 26
- 2θ = 61.27°, I 22
- 2θ = 25.94°, I 20
- 2θ = 62.73°, I 20

Cell and atoms:
```
La4Sb2F
1.0
-2.429 2.429 8.783
2.429 -2.429 8.783
2.429 2.429 -8.783
La Sb F
4 2 1
Direct
0.000 0.500 0.500
0.177 0.177 0.000
0.500 0.000 0.500
0.823 0.823 0.000
0.363 0.363 0.000
0.637 0.637 0.000
0.000 0.000 0.000
```


No. 2
Diffraction record for Ba2CdPb. The powder X-ray diffraction pattern is calculated, not measured: it uses the GGA-PBE geometry in Alexandria and CuKα.

Largest 12 diffraction maxima, by intensity, 10° ≤ 2θ ≤ 90°:
- 2θ = 29.21°, I 100
- 2θ = 30.89°, I 21
- 2θ = 30.73°, I 20
- 2θ = 34.20°, I 14
- 2θ = 53.90°, I 12
- 2θ = 44.13°, I 11
- 2θ = 39.31°, I 11
- 2θ = 26.12°, I 11
- 2θ = 53.69°, I 9
- 2θ = 31.23°, I 8
- 2θ = 50.81°, I 8
- 2θ = 49.87°, I 8

Cell and atoms:
```
Ba2CdPb
1.0
0.000 5.790 5.819
4.584 0.000 5.819
4.584 5.790 0.000
Ba Cd Pb
4 2 2
Direct
0.209 0.791 0.791
0.250 0.250 0.250
0.750 0.750 0.750
0.791 0.209 0.209
0.291 0.709 0.291
0.709 0.291 0.709
0.287 0.287 0.713
0.713 0.713 0.287
```


No. 3
Diffraction record for BeAlSn. The powder X-ray diffraction pattern is calculated, not measured: it uses the GGA-PBE geometry in Alexandria and CuKα.

Largest 12 diffraction maxima, by intensity, 10° ≤ 2θ ≤ 90°:
- 2θ = 29.73°, I 100
- 2θ = 34.07°, I 85
- 2θ = 40.39°, I 48
- 2θ = 49.81°, I 32
- 2θ = 64.42°, I 25
- 2θ = 38.14°, I 18
- 2θ = 56.76°, I 18
- 2θ = 61.73°, I 16
- 2θ = 59.09°, I 15
- 2θ = 83.17°, I 15
- 2θ = 80.86°, I 13
- 2θ = 66.34°, I 13

Cell and atoms:
```
BeAlSn
1.0
3.661 0.000 0.000
-1.830 3.171 0.000
0.000 0.000 9.437
Be Al Sn
2 2 2
Direct
0.333 0.667 0.496
0.667 0.333 0.504
0.000 0.000 0.358
0.000 0.000 0.642
0.333 0.667 0.131
0.667 0.333 0.869
```


No. 4
Diffraction record for La6Ho2Mg. The powder X-ray diffraction pattern is calculated, not measured: it uses the GGA-PBE geometry in Alexandria and CuKα.

Largest 12 diffraction maxima, by intensity, 10° ≤ 2θ ≤ 90°:
- 2θ = 31.90°, I 100
- 2θ = 30.72°, I 24
- 2θ = 27.86°, I 24
- 2θ = 59.24°, I 19
- 2θ = 55.41°, I 14
- 2θ = 49.32°, I 13
- 2θ = 59.87°, I 11
- 2θ = 41.93°, I 10
- 2θ = 55.28°, I 7
- 2θ = 49.21°, I 7
- 2θ = 81.25°, I 7
- 2θ = 60.00°, I 5

Cell and atoms:
```
La6Ho2Mg
1.0
10.950 -3.198 0.000
10.950 3.198 0.000
-3.164 0.000 8.858
La Ho Mg
12 4 2
Direct
0.002 0.671 0.088
0.126 0.768 0.864
0.230 0.542 0.468
0.232 0.874 0.636
0.329 0.998 0.412
0.458 0.770 0.032
0.542 0.230 0.968
0.671 0.002 0.588
0.768 0.126 0.364
0.770 0.458 0.532
0.874 0.232 0.136
0.998 0.329 0.912
0.110 0.446 0.696
0.446 0.110 0.196
0.554 0.890 0.804
0.890 0.554 0.304
0.328 0.672 0.250
0.672 0.328 0.750
```


No. 5
Diffraction record for Tm3ScSn2C. The powder X-ray diffraction pattern is calculated, not measured: it uses the GGA-PBE geometry in Alexandria and CuKα.

Largest 12 diffraction maxima, by intensity, 10° ≤ 2θ ≤ 90°:
- 2θ = 35.81°, I 100
- 2θ = 29.65°, I 55
- 2θ = 27.32°, I 33
- 2θ = 67.70°, I 32
- 2θ = 38.34°, I 31
- 2θ = 34.35°, I 29
- 2θ = 39.70°, I 28
- 2θ = 56.38°, I 25
- 2θ = 66.17°, I 19
- 2θ = 52.42°, I 18
- 2θ = 53.49°, I 17
- 2θ = 69.53°, I 15

Cell and atoms:
```
Tm3ScSn2C
1.0
-2.270 2.348 7.832
2.270 -2.348 7.832
2.270 2.348 -7.832
Tm Sc Sn C
3 1 2 1
Direct
0.000 0.000 0.000
0.342 0.842 0.500
0.658 0.158 0.500
0.500 0.500 0.000
0.140 0.640 0.500
0.860 0.360 0.500
0.500 0.000 0.500
```


No. 6
Diffraction record for Rb5Np2O12. The powder X-ray diffraction pattern is calculated, not measured: it uses the GGA-PBE geometry in Alexandria and CuKα.

Largest 12 diffraction maxima, by intensity, 10° ≤ 2θ ≤ 90°:
- 2θ = 13.50°, I 100
- 2θ = 13.67°, I 98
- 2θ = 26.46°, I 91
- 2θ = 23.63°, I 73
- 2θ = 23.73°, I 71
- 2θ = 28.31°, I 65
- 2θ = 27.54°, I 53
- 2θ = 39.18°, I 40
- 2θ = 28.84°, I 37
- 2θ = 32.19°, I 32
- 2θ = 46.44°, I 31
- 2θ = 41.65°, I 24

Cell and atoms:
```
Rb5Np2O12
1.0
6.534 0.000 0.000
0.878 8.005 0.000
0.875 2.731 7.535
Rb Np O
5 2 12
Direct
0.000 0.000 0.000
0.019 0.369 0.370
0.451 0.759 0.759
0.549 0.241 0.241
0.981 0.631 0.630
0.500 0.251 0.749
0.500 0.749 0.251
0.290 0.144 0.678
0.290 0.678 0.144
0.294 0.389 0.846
0.294 0.846 0.389
0.417 0.469 0.469
0.421 0.043 0.043
0.579 0.957 0.957
0.583 0.531 0.531
0.706 0.154 0.611
0.706 0.611 0.154
0.710 0.322 0.856
0.710 0.856 0.322
```